Li4CoRuO6: theoretical X-ray powder pattern (copper Kα), based on a crystal structure in Alexandria, relaxed with PBE+U.
No peak broadening, texture or thermal motion is included.

Atomic structure:
```
Li4CoRuO6
1.0
2.5240 -4.3694 0.0000
2.5240 4.3694 0.0000
-1.6914 0.0000 4.8100
Li Co Ru O
4 1 1 6
Cartesian
0.0000 0.0000 0.0000
1.6783 2.9433 2.4050
1.6783 0.0858 2.4050
1.6783 -2.9764 2.4050
2.5240 1.4597 0.0000
2.5240 -1.4544 0.0000
0.9150 1.5379 1.0899
0.0966 0.0267 3.6990
0.8727 -1.5602 1.0935
2.4417 1.5379 3.7202
3.2600 0.0267 1.1110
2.4839 -1.5602 3.7165
```

Largest 6 diffraction maxima, in order of falling intensity, 2θ = 10–90°:
- d = 4.810 Å, 2θ = 18.4°, I = 100
- d = 2.068 Å, 2θ = 43.8°, I = 82
- d = 2.486 Å, 2θ = 36.1°, I = 42
- d = 4.182 Å, 2θ = 21.2°, I = 40
- d = 3.741 Å, 2θ = 23.8°, I = 30
- d = 4.369 Å, 2θ = 20.3°, I = 23